Record 1
For Ba3Si2B6O16, DFT lattice parameters and positions (GGA-PBE) gives the theoretical powder diffraction line list in this record (Cu Kα, 1.54184 Å).
Peak positions follow from Bragg's law for the DFT cell and can differ from measured ones.

Atomic structure:
```
27
Lattice="5.0864 0.0000 0.0000 0.3299 7.6902 0.0000 1.8300 1.8387 8.2486" Properties=species:S:1:pos:R:3 pbc="T T T"
Ba 0.0000 0.0000 0.0000
Ba 2.1262 5.8202 6.0697
Ba 5.1201 3.7086 2.1789
Si 2.4352 2.3829 4.6205
Si 4.8110 7.1459 3.6281
B 2.3623 6.4034 2.4471
B 4.2834 4.1109 8.0460
B 2.9161 1.1622 2.1022
B 4.3301 8.3667 6.1465
B 2.9629 5.4180 0.2027
B 4.8839 3.1254 5.8015
O 1.0510 6.2816 3.1996
O 2.9648 4.3228 8.1848
O 2.9867 8.7378 5.5527
O 2.2033 2.0683 3.0314
O 2.3107 5.2888 1.4568
O 2.4928 7.6670 1.7306
O 3.9567 7.6124 7.3790
O 3.4761 6.1937 3.4283
O 3.7702 3.3352 4.8203
O 3.2895 1.9164 0.8696
O 4.7534 1.8619 6.5181
O 4.9355 4.2400 6.7919
O 5.0429 7.4605 5.2173
O 4.2595 0.7911 2.6959
O 4.2814 5.2061 0.0638
O 6.1952 3.2472 5.0490
```

Most intense lines, 2θ = 15–90°, in order of falling intensity:
2θ/deg, d [Å], I (rel.)
29.7, 3.004, 100
26.8, 3.326, 87
28.6, 3.124, 78
31.4, 2.852, 56
23.8, 3.736, 38
18.8, 4.712, 34
35.5, 2.529, 30
17.8, 4.971, 29

=====

Record 2
For TaGaSb, DFT lattice parameters and positions (GGA-PBE) gives the theoretical powder diffraction line list in this record (Cu Kα, 1.54184 Å).
Peak positions follow from Bragg's law for the DFT cell and can differ from measured ones.

Atomic structure:
```
6
Lattice="3.7291 0.0000 0.0000 0.0000 3.7291 0.0000 0.0000 0.0000 8.4000" Properties=species:S:1:pos:R:3 pbc="T T T"
Ta 0.9323 0.9323 2.0745
Ta 2.7968 2.7968 6.3255
Ga 0.9323 2.7968 4.2000
Ga 2.7968 0.9323 4.2000
Sb 0.9323 0.9323 7.4202
Sb 2.7968 2.7968 0.9798
```

Most intense lines, 2θ = 15–90°, in order of falling intensity:
2θ/deg, d [Å], I (rel.)
40.3, 2.239, 100
40.4, 2.233, 75
34.0, 2.637, 53
48.8, 1.865, 52
35.7, 2.516, 51
65.1, 1.433, 48
26.1, 3.408, 38
32.1, 2.789, 31

=====

Record 3
For MgScPaTc, DFT lattice parameters and positions (GGA-PBE) gives the theoretical powder diffraction line list in this record (Cu Kα, 1.54184 Å).
Peak positions follow from Bragg's law for the DFT cell and can differ from measured ones.

Atomic structure:
```
4
Lattice="0.0000 3.4607 3.4607 3.4607 0.0000 3.4607 3.4607 3.4607 0.0000" Properties=species:S:1:pos:R:3 pbc="T T T"
Mg 0.0000 0.0000 0.0000
Sc 5.1910 5.1910 5.1910
Pa 1.7303 1.7303 1.7303
Tc 3.4607 3.4607 3.4607
```

Most intense lines, 2θ = 15–90°, in order of falling intensity:
2θ/deg, d [Å], I (rel.)
36.7, 2.447, 100
22.2, 3.996, 56
66.1, 1.413, 35
43.4, 2.087, 31
52.9, 1.730, 17
89.6, 1.094, 16
25.7, 3.461, 16
58.1, 1.588, 14